1.
Theoretical powder X-ray diffraction pattern
Compound: PuHf2Sc12
Radiation: Cu Kα, 1.54184 Å
Structure: DFT lattice parameters and positions (GGA-PBE)
Intensities are scaled so that the largest is 100.

The 10 most intense peaks (2θ = 15–90°), in order of rising 2θ:
2θ (°)  intensity
21.70  65
24.77  51
26.93  74
30.88  37
33.16  62
34.85  75
35.51  100
44.24  43
49.84  33
52.55  35

Structure:
Lattice parameters (Å, degrees): 5.7916 5.7916 22.4909 90.00 90.00 90.00
Atoms (fractional coordinates):
Pu (0.2500, 0.7500, 0.0000)
Pu (0.7500, 0.2500, 0.0000)
Hf (0.2500, 0.7500, 0.2789)
Hf (0.2500, 0.7500, 0.7211)
Hf (0.7500, 0.2500, 0.2789)
Hf (0.7500, 0.2500, 0.7211)
Sc (0.0661, 0.5661, 0.1129)
Sc (0.0661, 0.9339, 0.8871)
Sc (0.0808, 0.5808, 0.4372)
Sc (0.0808, 0.9192, 0.5628)
Sc (0.2500, 0.2500, 0.2160)
Sc (0.2500, 0.2500, 0.3381)
Sc (0.2500, 0.2500, 0.6619)
Sc (0.2500, 0.2500, 0.7840)
Sc (0.4192, 0.5808, 0.5628)
Sc (0.4192, 0.9192, 0.4372)
Sc (0.4339, 0.5661, 0.8871)
Sc (0.4339, 0.9339, 0.1129)
Sc (0.5661, 0.0661, 0.8871)
Sc (0.5661, 0.4339, 0.1129)
Sc (0.5808, 0.0808, 0.5628)
Sc (0.5808, 0.4192, 0.4372)
Sc (0.7500, 0.7500, 0.2160)
Sc (0.7500, 0.7500, 0.3381)
Sc (0.7500, 0.7500, 0.6619)
Sc (0.7500, 0.7500, 0.7840)
Sc (0.9192, 0.0808, 0.4372)
Sc (0.9192, 0.4192, 0.5628)
Sc (0.9339, 0.0661, 0.1129)
Sc (0.9339, 0.4339, 0.8871)

2.
Theoretical powder X-ray diffraction pattern
Compound: Pu2Hf4Sc5
Radiation: Cu Kα, 1.54184 Å
Structure: DFT lattice parameters and positions (GGA-PBE)
Intensities are scaled so that the largest is 100.

The 10 most intense peaks (2θ = 15–90°), in order of rising 2θ:
2θ (°)  intensity
23.31  41
24.91  54
34.14  83
34.81  100
35.42  94
35.69  91
35.79  96
36.33  88
36.45  36
53.48  35

Structure:
Lattice parameters (Å, degrees): 3.1144 7.8014 10.8538 85.05 81.76 78.49
Atoms (fractional coordinates):
Pu (0.2267, 0.2357, 0.3118)
Pu (0.7733, 0.7643, 0.6882)
Hf (0.1389, 0.1253, 0.5963)
Hf (0.1738, 0.6813, 0.9718)
Hf (0.8262, 0.3187, 0.0282)
Hf (0.8611, 0.8747, 0.4037)
Sc (0.4102, 0.4021, 0.7751)
Sc (0.4510, 0.9618, 0.1359)
Sc (0.5000, 0.5000, 0.5000)
Sc (0.5490, 0.0382, 0.8641)
Sc (0.5898, 0.5979, 0.2249)

3.
Theoretical powder X-ray diffraction pattern
Compound: Pu3Hf2Sc8
Radiation: Cu Kα, 1.54184 Å
Structure: DFT lattice parameters and positions (GGA-PBE)
Intensities are scaled so that the largest is 100.

The 10 most intense peaks (2θ = 15–90°), in order of rising 2θ:
2θ (°)  intensity
17.89  100
20.65  51
30.06  39
34.45  39
34.84  25
34.97  25
35.13  88
35.21  27
35.43  46
52.49  23

Structure:
Lattice parameters (Å, degrees): 5.7417 5.9731 10.4642 106.58 90.28 115.76
Atoms (fractional coordinates):
Pu (0.0000, 0.0000, 0.0000)
Pu (0.4649, 0.2381, 0.0335)
Pu (0.5351, 0.7619, 0.9665)
Hf (0.0474, 0.7554, 0.4646)
Hf (0.9526, 0.2446, 0.5354)
Sc (0.0554, 0.7427, 0.7566)
Sc (0.0692, 0.7366, 0.1514)
Sc (0.4414, 0.2619, 0.7009)
Sc (0.4574, 0.2389, 0.3863)
Sc (0.5426, 0.7611, 0.6137)
Sc (0.5586, 0.7381, 0.2991)
Sc (0.9308, 0.2634, 0.8486)
Sc (0.9446, 0.2573, 0.2434)